Simulated X-ray powder pattern of NaNbCl6 for λ = 1.5418 Å (Cu Kα), from a GGA-PBE-relaxed structure.

Structure:
Lattice parameters (Å, degrees): 6.6840 7.0381 20.6314 90.00 90.92 90.00
Space group P2_1/c (No. 14)
Inequivalent atoms, fractional coordinates:
Na (0.2056, 0.1942, 0.2565) x4
Nb (0.2631, 0.7131, 0.6196) x4
Cl (0.0225, 0.0310, 0.8408) x4
Cl (0.0906, 0.5083, 0.1644) x4
Cl (0.1118, 0.7389, 0.0202) x4
Cl (0.3981, 0.6662, 0.7332) x4
Cl (0.4165, 0.0689, 0.0909) x4
Cl (0.4581, 0.0994, 0.3998) x4

Peak list (10 most intense, 2θ = 10–80°, by angle)
d [Å], I_rel, index
5.814, 100, 0 1 2
5.650, 42, 1 0 -2
5.568, 48, 1 0 2
5.157, 26, 0 0 4
4.846, 42, 1 1 0
3.038, 34, 1 0 6
2.989, 35, 1 2 -2
2.908, 30, 2 1 -2
2.423, 17, 2 2 0
2.202, 25, 2 2 -4